This entry pairs a crystal structure of Tb4Al12Cu with its calculated PXRD pattern. Radiation: copper Kα. Structure: the GGA-PBE geometry in Alexandria.
Kinematic intensities with the Lorentz-polarization factor, no thermal factor.

Cell: 8.6550 8.6550 8.6550 Å, 90.00 90.00 90.00°
Space group Im-3m (No. 229)
Unique sites:
Tb 0.2500 0.2500 0.2500 x8
Al 0.0000 0.0000 0.2921 x12
Al 0.0000 0.2500 0.5000 x12
Cu 0.0000 0.0000 0.0000 x2

Largest 10 diffraction maxima, in order of rising 2θ, 15° ≤ 2θ ≤ 90°:
(2 0 0), d = 4.327 Å, intensity 62; (2 2 0), d = 3.060 Å, intensity 100; (2 2 2), d = 2.498 Å, intensity 78; (4 0 0), d = 2.164 Å, intensity 51; (4 2 0), d = 1.935 Å, intensity 34; (4 2 2), d = 1.767 Å, intensity 38; (4 4 0), d = 1.530 Å, intensity 32; (6 2 0), d = 1.368 Å, intensity 20; (6 2 2), d = 1.305 Å, intensity 27; (6 4 2), d = 1.157 Å, intensity 22

This entry pairs a crystal structure of Al3CuTc with its calculated PXRD pattern. Radiation: copper Kα. Structure: the GGA-PBE geometry in Alexandria.
Kinematic intensities with the Lorentz-polarization factor, no thermal factor.

Cell: 4.3496 13.3726 10.6897 Å, 90.00 90.00 90.00°
Space group Imma (No. 74)
Unique sites:
Al 0.0000 0.0708 0.1568 x8
Al 0.0000 0.1363 0.8534 x8
Al 0.0000 0.1465 0.4484 x8
Cu 0.0000 0.2500 0.0589 x4
Cu 0.0000 0.2500 0.6492 x4
Tc 0.0000 0.0322 0.6408 x8

Largest 10 diffraction maxima, in order of rising 2θ, 15° ≤ 2θ ≤ 90°:
(1 2 1), d = 3.450 Å, intensity 35; (1 1 2), d = 3.271 Å, intensity 26; (0 0 4), d = 2.672 Å, intensity 30; (2 0 0), d = 2.175 Å, intensity 44; (1 4 3), d = 2.127 Å, intensity 61; (0 1 5), d = 2.111 Å, intensity 18; (1 5 2), d = 2.096 Å, intensity 100; (1 4 7), d = 1.323 Å, intensity 20; (3 5 2), d = 1.240 Å, intensity 17; (0 9 5), d = 1.220 Å, intensity 17

This entry pairs a crystal structure of AlCu2Te with its calculated PXRD pattern. Radiation: copper Kα. Structure: the GGA-PBE geometry in Alexandria.
Kinematic intensities with the Lorentz-polarization factor, no thermal factor.

Cell: 3.0230 4.0731 6.1258 Å, 90.00 104.24 90.00°
Space group P2/m (No. 10)
Unique sites:
Al 0.0000 0.0000 0.0000 x1
Cu 0.2126 0.5000 0.8226 x2
Te 0.0000 0.0000 0.5000 x1

Largest 10 diffraction maxima, in order of rising 2θ, 15° ≤ 2θ ≤ 90°:
(0 1 1), d = 3.359 Å, intensity 74; (1 0 -1), d = 2.930 Å, intensity 78; (0 1 2), d = 2.399 Å, intensity 68; (1 1 0), d = 2.379 Å, intensity 16; (1 1 -2), d = 2.069 Å, intensity 100; (0 2 0), d = 2.037 Å, intensity 30; (0 0 3), d = 1.979 Å, intensity 18; (1 0 2), d = 1.868 Å, intensity 19; (1 2 -1), d = 1.672 Å, intensity 29; (2 1 0), d = 1.379 Å, intensity 18

This entry pairs a crystal structure of Al2CuTe4 with its calculated PXRD pattern. Radiation: copper Kα. Structure: the GGA-PBE geometry in Alexandria.
Kinematic intensities with the Lorentz-polarization factor, no thermal factor.

Cell: 5.7800 5.7800 6.3563 Å, 90.00 90.00 90.00°
Space group P-42m (No. 111)
Unique sites:
Al 0.0000 0.5000 0.0000 x2
Cu 0.0000 0.0000 0.5000 x1
Te 0.2622 0.2622 0.7351 x4

Largest 10 diffraction maxima, in order of rising 2θ, 15° ≤ 2θ ≤ 90°:
(1 1 1), d = 3.438 Å, intensity 100; (0 0 2), d = 3.178 Å, intensity 10; (2 0 0), d = 2.890 Å, intensity 16; (2 0 2), d = 2.138 Å, intensity 38; (2 2 0), d = 2.044 Å, intensity 17; (1 1 3), d = 1.881 Å, intensity 17; (3 1 1), d = 1.757 Å, intensity 28; (2 2 2), d = 1.719 Å, intensity 7; (3 1 3), d = 1.384 Å, intensity 12; (4 2 2), d = 1.197 Å, intensity 10

This entry pairs a crystal structure of Al3CuTe4 with its calculated PXRD pattern. Radiation: copper Kα. Structure: the GGA-PBE geometry in Alexandria.
Kinematic intensities with the Lorentz-polarization factor, no thermal factor.

Cell: 6.7181 6.7181 10.5383 Å, 90.00 90.00 90.00°
Space group I-42m (No. 121)
Unique sites:
Al 0.0000 0.0000 0.0000 x2
Al 0.0000 0.5000 0.2500 x4
Cu 0.0000 0.0000 0.5000 x2
Te 0.2448 0.2448 0.3788 x8

Largest 10 diffraction maxima, in order of rising 2θ, 15° ≤ 2θ ≤ 90°:
(1 1 2), d = 3.528 Å, intensity 100; (2 0 0), d = 3.359 Å, intensity 19; (2 2 0), d = 2.375 Å, intensity 26; (2 0 4), d = 2.073 Å, intensity 35; (3 1 2), d = 1.970 Å, intensity 38; (4 0 0), d = 1.680 Å, intensity 9; (1 1 6), d = 1.647 Å, intensity 11; (3 1 6), d = 1.354 Å, intensity 11; (4 2 4), d = 1.305 Å, intensity 15; (5 1 2), d = 1.278 Å, intensity 9

This entry pairs a crystal structure of AlCu2Te with its calculated PXRD pattern. Radiation: copper Kα. Structure: the GGA-PBE geometry in Alexandria.
Kinematic intensities with the Lorentz-polarization factor, no thermal factor.

Cell: 7.5568 3.9402 6.2863 Å, 90.00 126.55 90.00°
Space group Cm (No. 8)
Unique sites:
Al 0.0000 0.0000 0.0000 x2
Cu 0.0185 0.5000 0.2907 x2
Cu 0.2535 0.5000 0.1334 x2
Te 0.3912 0.0000 0.6008 x2

Largest 10 diffraction maxima, in order of rising 2θ, 15° ≤ 2θ ≤ 90°:
(2 0 -1), d = 3.778 Å, intensity 23; (1 1 0), d = 3.303 Å, intensity 100; (2 0 0), d = 3.035 Å, intensity 20; (2 0 -2), d = 3.015 Å, intensity 30; (1 1 1), d = 2.428 Å, intensity 99; (1 1 -2), d = 2.420 Å, intensity 20; (2 0 -3), d = 2.093 Å, intensity 31; (3 1 -2), d = 2.075 Å, intensity 79; (0 2 0), d = 1.970 Å, intensity 34; (1 1 -3), d = 1.746 Å, intensity 22

This entry pairs a crystal structure of AlCu2Te with its calculated PXRD pattern. Radiation: copper Kα. Structure: the GGA-PBE geometry in Alexandria.
Kinematic intensities with the Lorentz-polarization factor, no thermal factor.

Cell: 3.7253 3.7944 5.1663 Å, 90.00 107.38 90.00°
Space group Pm (No. 6)
Unique sites:
Al 0.0000 0.0000 0.0000 x1
Cu 0.5438 0.5000 0.0983 x1
Cu 0.7485 0.0000 0.4348 x1
Te 0.3090 0.5000 0.5703 x1

Largest 10 diffraction maxima, in order of rising 2θ, 15° ≤ 2θ ≤ 90°:
(0 0 1), d = 4.930 Å, intensity 46; (0 1 0), d = 3.794 Å, intensity 27; (1 1 0), d = 2.594 Å, intensity 100; (1 1 -1), d = 2.535 Å, intensity 65; (0 0 2), d = 2.465 Å, intensity 40; (1 1 1), d = 2.114 Å, intensity 48; (0 1 2), d = 2.067 Å, intensity 50; (1 1 -2), d = 2.020 Å, intensity 49; (0 2 0), d = 1.897 Å, intensity 35; (2 0 -1), d = 1.859 Å, intensity 32

This entry pairs a crystal structure of ThAl4Cu4 with its calculated PXRD pattern. Radiation: copper Kα. Structure: the GGA-PBE geometry in Alexandria.
Kinematic intensities with the Lorentz-polarization factor, no thermal factor.

Cell: 5.9203 5.9203 8.4173 Å, 90.00 90.00 90.00°
Space group P4_2/nmc (No. 137, origin choice 2)
Unique sites:
Th 0.2500 0.7500 0.2500 x2
Al 0.0173 0.2500 0.1433 x8
Cu 0.0442 0.2500 0.4382 x8

Largest 10 diffraction maxima, in order of rising 2θ, 15° ≤ 2θ ≤ 90°:
(1 0 1), d = 4.842 Å, intensity 48; (1 1 0), d = 4.186 Å, intensity 15; (1 1 2), d = 2.966 Å, intensity 75; (2 0 1), d = 2.792 Å, intensity 18; (1 0 3), d = 2.535 Å, intensity 53; (2 1 1), d = 2.526 Å, intensity 100; (2 0 2), d = 2.421 Å, intensity 18; (2 2 2), d = 1.873 Å, intensity 43; (3 0 3), d = 1.613 Å, intensity 42; (2 1 5), d = 1.421 Å, intensity 15

This entry pairs a crystal structure of Th3Al5Cu6 with its calculated PXRD pattern. Radiation: copper Kα. Structure: the GGA-PBE geometry in Alexandria.
Kinematic intensities with the Lorentz-polarization factor, no thermal factor.

Cell: 4.4070 8.8094 13.1504 Å, 90.00 90.00 90.00°
Space group Immm (No. 71)
Unique sites:
Th 0.0000 0.0000 0.0000 x2
Th 0.0000 0.0000 0.3020 x4
Al 0.0000 0.3532 0.3430 x8
Al 0.0000 0.5000 0.0000 x2
Cu 0.0000 0.1833 0.5000 x4
Cu 0.0000 0.2812 0.1365 x8

Largest 10 diffraction maxima, in order of rising 2θ, 15° ≤ 2θ ≤ 90°:
(1 1 0), d = 3.934 Å, intensity 100; (1 0 3), d = 3.108 Å, intensity 12; (0 2 4), d = 2.635 Å, intensity 19; (1 2 3), d = 2.539 Å, intensity 94; (1 1 4), d = 2.524 Å, intensity 29; (1 3 0), d = 2.442 Å, intensity 53; (2 0 0), d = 2.203 Å, intensity 41; (2 1 3), d = 1.921 Å, intensity 13; (2 3 3), d = 1.635 Å, intensity 25; (3 2 3), d = 1.328 Å, intensity 19

This entry pairs a crystal structure of ThAl3Cu3 with its calculated PXRD pattern. Radiation: copper Kα. Structure: the GGA-PBE geometry in Alexandria.
Kinematic intensities with the Lorentz-polarization factor, no thermal factor.

Cell: 7.0520 7.0520 16.5199 Å, 90.00 90.00 120.00°
Space group R-3m (No. 166, hexagonal axes)
Unique sites:
Th 0.0000 0.0000 0.1296 x6
Al 0.0786 0.5393 0.3568 x18
Cu 0.0857 0.5429 0.1040 x18

Largest 10 diffraction maxima, in order of rising 2θ, 15° ≤ 2θ ≤ 90°:
(0 0 3), d = 5.507 Å, intensity 41; (1 1 0), d = 3.526 Å, intensity 50; (1 0 4), d = 3.421 Å, intensity 44; (0 2 1), d = 3.003 Å, intensity 51; (1 1 3), d = 2.969 Å, intensity 57; (0 2 4), d = 2.455 Å, intensity 100; (2 1 1), d = 2.286 Å, intensity 48; (2 0 5), d = 2.243 Å, intensity 34; (1 0 7), d = 2.201 Å, intensity 37; (3 0 3), d = 1.909 Å, intensity 34

This entry pairs a crystal structure of Th3Al3Cu8 with its calculated PXRD pattern. Radiation: copper Kα. Structure: the GGA-PBE geometry in Alexandria.
Kinematic intensities with the Lorentz-polarization factor, no thermal factor.

Cell: 15.4695 4.2486 8.8548 Å, 90.00 122.06 90.00°
Space group C2/m (No. 12)
Unique sites:
Th 0.0000 0.0000 0.0000 x2
Th 0.1971 0.5000 0.6594 x4
Al 0.0000 0.0000 0.5000 x2
Al 0.1783 0.5000 0.0135 x4
Cu 0.0100 0.5000 0.7031 x4
Cu 0.1139 0.0000 0.3830 x4
Cu 0.1291 0.0000 0.8348 x4
Cu 0.1437 0.5000 0.2641 x4

Largest 10 diffraction maxima, in order of rising 2θ, 15° ≤ 2θ ≤ 90°:
(2 0 1), d = 3.997 Å, intensity 28; (1 1 -1), d = 3.834 Å, intensity 91; (3 1 0), d = 3.046 Å, intensity 37; (4 0 -3), d = 2.846 Å, intensity 22; (6 0 -2), d = 2.573 Å, intensity 23; (1 1 2), d = 2.550 Å, intensity 100; (0 0 3), d = 2.502 Å, intensity 28; (5 1 -1), d = 2.467 Å, intensity 79; (3 1 -3), d = 2.422 Å, intensity 42; (0 2 0), d = 2.125 Å, intensity 53

This entry pairs a crystal structure of ThAl3Cu with its calculated PXRD pattern. Radiation: copper Kα. Structure: the GGA-PBE geometry in Alexandria.
Kinematic intensities with the Lorentz-polarization factor, no thermal factor.

Cell: 6.0517 6.0468 6.0334 Å, 90.00 120.08 90.00°
Space group Cm (No. 8)
Unique sites:
Th 0.0000 0.0000 0.0000 x2
Al 0.4017 0.0000 0.8034 x2
Al 0.4984 0.2491 0.4955 x4
Cu 0.1312 0.5000 0.2596 x2

Largest 10 diffraction maxima, in order of rising 2θ, 15° ≤ 2θ ≤ 90°:
(0 0 1), d = 5.221 Å, intensity 47; (1 1 0), d = 3.958 Å, intensity 78; (0 2 0), d = 3.025 Å, intensity 59; (1 1 1), d = 2.700 Å, intensity 100; (2 0 -2), d = 2.617 Å, intensity 92; (2 2 -1), d = 2.139 Å, intensity 44; (1 1 -3), d = 1.877 Å, intensity 38; (3 1 0), d = 1.676 Å, intensity 49; (3 1 -4), d = 1.410 Å, intensity 22; (4 2 -3), d = 1.309 Å, intensity 24

This entry pairs a crystal structure of Th2Al5Cu3 with its calculated PXRD pattern. Radiation: copper Kα. Structure: the GGA-PBE geometry in Alexandria.
Kinematic intensities with the Lorentz-polarization factor, no thermal factor.

Cell: 10.4447 11.9288 5.9812 Å, 90.00 90.00 90.00°
Space group Ibam (No. 72)
Unique sites:
Th 0.2489 0.1287 0.0000 x8
Al 0.0000 0.0000 0.2500 x4
Al 0.0000 0.2455 0.2500 x8
Al 0.1367 0.3848 0.0000 x8
Cu 0.0000 0.5000 0.2500 x4
Cu 0.1307 0.1236 0.5000 x8

Largest 10 diffraction maxima, in order of rising 2θ, 15° ≤ 2θ ≤ 90°:
(2 0 0), d = 5.222 Å, intensity 35; (1 2 1), d = 3.916 Å, intensity 69; (0 0 2), d = 2.986 Å, intensity 46; (3 2 1), d = 2.686 Å, intensity 92; (2 0 2), d = 2.592 Å, intensity 100; (0 4 2), d = 2.112 Å, intensity 45; (5 2 1), d = 1.872 Å, intensity 38; (3 2 3), d = 1.662 Å, intensity 22; (3 6 1), d = 1.659 Å, intensity 22; (5 2 3), d = 1.401 Å, intensity 29